Entry 1:
Computed powder diffraction line list of MnPS3 for CuKα, from DFT lattice parameters and positions (GGA-PBE).
No peak broadening, texture or thermal motion is included.

The 10 most intense peaks (2θ from 10° to 80°), by angle:
12.67°, d = 6.984 Å, I 1000
25.51°, d = 3.492 Å, I 78
29.73°, d = 3.005 Å, I 213
29.83°, d = 2.996 Å, I 112
34.12°, d = 2.628 Å, I 585
34.25°, d = 2.618 Å, I 287
45.70°, d = 1.985 Å, I 137
45.93°, d = 1.976 Å, I 74
52.16°, d = 1.754 Å, I 202
52.40°, d = 1.746 Å, I 151

Cell and atoms:
Unit cell a=6.0564 b=6.0579 c=7.2639 alpha=82.37 beta=74.05 gamma=60.29
Positions (direct):
Mn (0.1602, 0.1584, 0.0000)
Mn (0.8398, 0.8416, 0.0000)
P (0.4495, 0.4986, 0.1581)
P (0.5505, 0.5014, 0.8419)
S (0.0990, 0.8240, 0.2346)
S (0.2484, 0.4990, 0.7711)
S (0.4238, 0.1735, 0.2295)
S (0.5762, 0.8265, 0.7705)
S (0.7516, 0.5010, 0.2289)
S (0.9010, 0.1760, 0.7654)

---

Entry 2:
Computed powder diffraction line list of TiSiO4 for CuKα, from DFT lattice parameters and positions (GGA-PBE).
No peak broadening, texture or thermal motion is included.

The 10 most intense peaks (2θ from 10° to 80°), by angle:
21.15°, d = 4.201 Å, I 74
32.55°, d = 2.751 Å, I 1000
34.80°, d = 2.578 Å, I 103
44.89°, d = 2.019 Å, I 310
51.79°, d = 1.765 Å, I 59
53.38°, d = 1.716 Å, I 339
56.59°, d = 1.626 Å, I 202
60.97°, d = 1.520 Å, I 159
66.82°, d = 1.400 Å, I 274
68.18°, d = 1.375 Å, I 77

Cell and atoms:
Unit cell a=6.0961 b=6.0961 c=6.0961 alpha=135.67 beta=135.67 gamma=64.49
Positions (direct):
Ti (0.3750, 0.1250, 0.2500)
Ti (0.6250, 0.8750, 0.7500)
Si (0.1250, 0.3750, 0.7500)
Si (0.8750, 0.6250, 0.2500)
O (0.0236, 0.7170, 0.8373)
O (0.2170, 0.8798, 0.6934)
O (0.3137, 0.4764, 0.1934)
O (0.3798, 0.1863, 0.6627)
O (0.6202, 0.8137, 0.3373)
O (0.6863, 0.5236, 0.8066)
O (0.7830, 0.1202, 0.3066)
O (0.9764, 0.2830, 0.1627)